[1]
# Ta3NO6
Simulated powder diffraction line list, Cu Kα. Input: a structure optimized by DFT (PBE).

Top 8 peaks for 5 to 70 degrees two-theta, sorted by position:
| two_theta | I (rel.) | index |
| --- | --- | --- |
| 17.02 | 42 | 0 0 2 |
| 23.39 | 58 | 1 1 0 |
| 25.66 | 100 | 0 0 3 |
| 31.64 | 32 | 5 1 -1 |
| 33.06 | 23 | 1 1 -3 |
| 37.97 | 23 | 5 1 1 |
| 38.59 | 26 | 5 1 -4 |
| 54.05 | 26 | 0 2 3 |

Crystal structure
```
data_Ta3NO6
_chemical_formula_sum 'Ta18 N6 O36'
_space_group_name_H-M_alt 'C 1 m 1'
_space_group_IT_number 8
_space_group_name_Hall 'C -2y'
_cell_length_a 20.9105
_cell_length_b 3.8896
_cell_length_c 12.0296
_cell_angle_alpha 90.00
_cell_angle_beta 120.02
_cell_angle_gamma 90.00
loop_
_atom_site_label
_atom_site_type_symbol
_atom_site_fract_x
_atom_site_fract_y
_atom_site_fract_z
Ta1 Ta 0.0000 0.0000 0.0000
Ta2 Ta 0.0241 0.0000 0.7470
Ta3 Ta 0.1025 0.0000 0.3717
Ta4 Ta 0.1284 0.5000 0.0046
Ta5 Ta 0.2099 0.0000 0.7416
Ta6 Ta 0.2355 0.5000 0.3721
Ta7 Ta 0.3110 0.5000 0.0005
Ta8 Ta 0.3394 0.5000 0.7406
Ta9 Ta 0.4198 0.5000 0.3739
N1 N 0.0923 0.0000 0.9697
N2 N 0.2482 0.5000 0.7841
N3 N 0.4439 0.5000 0.7922
O1 O 0.0177 0.0000 0.3835
O2 O 0.0175 0.5000 0.0029
O3 O 0.0475 0.0000 0.1847
O4 O 0.0476 0.5000 0.7921
O5 O 0.1270 0.0000 0.7595
O6 O 0.1287 0.5000 0.3748
O7 O 0.1650 0.0000 0.5632
O8 O 0.1726 0.5000 0.1827
O9 O 0.2105 0.0000 0.3711
O10 O 0.2150 0.5000 0.9962
O11 O 0.2906 0.5000 0.5603
O12 O 0.2949 0.0000 0.9609
O13 O 0.3205 0.5000 0.3614
O14 O 0.3215 0.0000 0.7480
O15 O 0.3708 0.5000 0.1784
O16 O 0.3959 0.5000 0.9603
O17 O 0.4189 0.0000 0.3733
O18 O 0.4696 0.5000 0.5682
```


[2]
# Tb4N2O
Simulated powder diffraction line list, Cu Kα. Input: a structure optimized by DFT (PBE).

Top 8 peaks for 5 to 70 degrees two-theta, sorted by position:
| two_theta | I (rel.) | index |
| --- | --- | --- |
| 29.92 | 22 | 1 1 -1 |
| 30.40 | 50 | 4 0 0 |
| 33.33 | 31 | 0 0 2 |
| 33.56 | 75 | 1 1 1 |
| 33.73 | 100 | 4 0 -2 |
| 43.33 | 27 | 5 1 -1 |
| 52.92 | 28 | 3 1 -3 |
| 62.56 | 27 | 7 1 -3 |

Crystal structure
```
data_Tb4N2O
_chemical_formula_sum 'Tb8 N4 O2'
_space_group_name_H-M_alt 'C 1 2/m 1'
_space_group_IT_number 12
_space_group_name_Hall '-C 2y'
_cell_length_a 13.1359
_cell_length_b 3.4432
_cell_length_c 6.0039
_cell_angle_alpha 90.00
_cell_angle_beta 116.44
_cell_angle_gamma 90.00
loop_
_atom_site_label
_atom_site_type_symbol
_atom_site_fract_x
_atom_site_fract_y
_atom_site_fract_z
Tb1 Tb 0.1314 0.0000 0.2927
Tb2 Tb 0.1340 0.5000 0.8105
N1 N 0.2454 0.0000 0.7404
O1 O 0.0000 0.5000 0.0000
```